(1)
Mg14SiSnO16: simulated XRD peak list (Cu Ka), based on a DFT-relaxed cell (PBE, the Materials Project).

Cell and atoms:
Unit cell a=8.7199 b=8.7199 c=4.3886 alpha=90.00 beta=90.00 gamma=90.00
Sites, in units of the cell vectors:
Mg1 0.0000 0.2519 0.0000
Mg2 0.0000 0.5000 0.5000
Mg3 0.0000 0.7481 0.0000
Mg4 0.2413 0.5000 0.0000
Mg5 0.2470 0.2470 0.5000
Mg6 0.2470 0.7530 0.5000
Mg7 0.2519 0.0000 0.0000
Mg8 0.5000 0.0000 0.5000
Mg9 0.5000 0.2413 0.0000
Mg10 0.5000 0.7587 0.0000
Mg11 0.7481 0.0000 0.0000
Mg12 0.7530 0.2470 0.5000
Mg13 0.7530 0.7530 0.5000
Mg14 0.7587 0.5000 0.0000
Si1 0.0000 0.0000 0.5000
Sn1 0.5000 0.5000 0.5000
O1 0.0000 0.0000 0.0000
O2 0.0000 0.2575 0.5000
O3 0.0000 0.5000 0.0000
O4 0.0000 0.7425 0.5000
O5 0.2294 0.5000 0.5000
O6 0.2497 0.2497 0.0000
O7 0.2497 0.7503 0.0000
O8 0.2575 0.0000 0.5000
O9 0.5000 0.0000 0.0000
O10 0.5000 0.2294 0.5000
O11 0.5000 0.5000 0.0000
O12 0.5000 0.7706 0.5000
O13 0.7425 0.0000 0.5000
O14 0.7503 0.2497 0.0000
O15 0.7503 0.7503 0.0000
O16 0.7706 0.5000 0.5000

Peak list (10 most intense, 5° ≤ 2θ ≤ 70°, by angle)
- 2θ 10.14, I 32.7
- 2θ 14.36, I 14.3
- 2θ 22.80, I 13.1
- 2θ 28.90, I 13.9
- 2θ 30.69, I 19.1
- 2θ 35.59, I 32.6
- 2θ 41.14, I 51.9
- 2θ 41.42, I 100.0
- 2θ 59.80, I 59.4
- 2θ 60.02, I 28.9


(2)
MgSi2SnO6: simulated XRD peak list (Cu Ka), based on a DFT-relaxed cell (PBE, the Materials Project).

Cell and atoms:
Unit cell a=7.3017 b=7.3017 c=5.5121 alpha=104.47 beta=104.47 gamma=84.56
Sites, in units of the cell vectors:
Mg1 0.2238 0.7762 0.7500
Mg2 0.7762 0.2238 0.2500
Si1 0.1271 0.3147 0.7200
Si2 0.3147 0.1271 0.2200
Si3 0.6853 0.8729 0.7800
Si4 0.8729 0.6853 0.2800
Sn1 0.3617 0.6383 0.2500
Sn2 0.6383 0.3617 0.7500
O1 0.1015 0.7104 0.3809
O2 0.1856 0.5341 0.8266
O3 0.2028 0.2100 0.4553
O4 0.2100 0.2028 0.9553
O5 0.2896 0.8985 0.1191
O6 0.4659 0.8144 0.6734
O7 0.5341 0.1856 0.3266
O8 0.7104 0.1015 0.8809
O9 0.7900 0.7972 0.0447
O10 0.7972 0.7900 0.5447
O11 0.8144 0.4659 0.1734
O12 0.8985 0.2896 0.6191

Peak list (10 most intense, 5° ≤ 2θ ≤ 70°, by angle)
- 2θ 12.53, I 38.8
- 2θ 18.69, I 22.0
- 2θ 23.54, I 21.8
- 2θ 25.21, I 29.1
- 2θ 26.99, I 100.0
- 2θ 27.84, I 27.1
- 2θ 28.64, I 18.2
- 2θ 33.89, I 33.8
- 2θ 34.58, I 21.4
- 2θ 53.23, I 16.7


(3)
Mg14SiSnO16: simulated XRD peak list (Cu Ka), based on a DFT-relaxed cell (PBE, the Materials Project).

Cell and atoms:
Unit cell a=4.3904 b=8.6702 c=8.7733 alpha=90.00 beta=90.00 gamma=90.00
Sites, in units of the cell vectors:
Mg1 0.0000 0.0000 0.0000
Mg2 0.0000 0.2461 0.2421
Mg3 0.0000 0.2461 0.7579
Mg4 0.0000 0.5000 0.0000
Mg5 0.0000 0.7539 0.2421
Mg6 0.0000 0.7539 0.7579
Mg7 0.5000 0.0000 0.2457
Mg8 0.5000 0.0000 0.7543
Mg9 0.5000 0.2428 0.5000
Mg10 0.5000 0.2485 0.0000
Mg11 0.5000 0.5000 0.2401
Mg12 0.5000 0.5000 0.7599
Mg13 0.5000 0.7515 0.0000
Mg14 0.5000 0.7572 0.5000
Si1 0.0000 0.0000 0.5000
Sn1 0.0000 0.5000 0.5000
O1 0.0000 0.0000 0.2335
O2 0.0000 0.0000 0.7665
O3 0.0000 0.2246 0.5000
O4 0.0000 0.2482 0.0000
O5 0.0000 0.5000 0.2274
O6 0.0000 0.5000 0.7726
O7 0.0000 0.7518 0.0000
O8 0.0000 0.7754 0.5000
O9 0.5000 0.0000 0.0000
O10 0.5000 0.0000 0.5000
O11 0.5000 0.2497 0.2502
O12 0.5000 0.2497 0.7498
O13 0.5000 0.5000 0.0000
O14 0.5000 0.5000 0.5000
O15 0.5000 0.7503 0.2502
O16 0.5000 0.7503 0.7498

Peak list (10 most intense, 5° ≤ 2θ ≤ 70°, by angle)
- 2θ 10.08, I 15.1
- 2θ 10.20, I 14.0
- 2θ 14.36, I 14.3
- 2θ 22.69, I 18.3
- 2θ 30.59, I 11.1
- 2θ 35.58, I 32.1
- 2θ 41.14, I 100.0
- 2θ 41.67, I 47.8
- 2θ 59.59, I 29.0
- 2θ 59.99, I 56.4